Diffraction record for Sr2TlCd2. The X-ray powder pattern is calculated, not measured: it uses a structure optimized by DFT (GGA-PBE) and a wavelength of 1.5418 Å.

Main lines, low angle first (2θ from 15° to 90°):
18.81 deg, rel. 28; 27.71 deg, rel. 17; 29.13 deg, rel. 48; 29.98 deg, rel. 23; 30.15 deg, rel. 89; 33.04 deg, rel. 100; 33.89 deg, rel. 58; 35.15 deg, rel. 16

Crystal structure
a = 6.6382 Å, b = 6.6382 Å, c = 10.7738 Å
α = 109.99°, β = 109.99°, γ = 46.96°
Atoms (fractional coordinates):
Sr: 0.0968 0.0968 0.3832
Sr: 0.1717 0.1717 0.0544
Sr: 0.8283 0.8283 0.9456
Sr: 0.9032 0.9032 0.6168
Tl: 0.2325 0.2325 0.7323
Tl: 0.7675 0.7675 0.2677
Cd: 0.3948 0.3948 0.3749
Cd: 0.4916 0.4916 0.1398
Cd: 0.5084 0.5084 0.8602
Cd: 0.6052 0.6052 0.6251